Record 1
The following is a computed PXRD pattern of Er2AlTlZn2. It was derived from a GGA-PBE-relaxed structure, using Cu Ka.

Main lines, in order of falling intensity (2θ from 15° to 90°):
Position (°2θ)	Rel. int.
33.71	100
39.59	58
52.95	28
68.08	26
22.55	22
66.17	15

```
data_Er2AlTlZn2
_symmetry_space_group_name_H-M 'P 1'
_symmetry_Int_Tables_number 1
_symmetry_space_group_name_Hall 'P 1'
_cell_length_a 4.553
_cell_length_b 4.553
_cell_length_c 7.202
_cell_angle_alpha 90.00
_cell_angle_beta 90.00
_cell_angle_gamma 120.00
loop_
_atom_site_label
_atom_site_fract_x
_atom_site_fract_y
_atom_site_fract_z
Er1 0.000 0.000 0.000
Er2 0.000 0.000 0.488
Al1 0.667 0.333 0.217
Tl1 0.333 0.667 0.714
Zn1 0.333 0.667 0.277
Zn2 0.667 0.333 0.813
```


Record 2
The following is a computed PXRD pattern of Na2HfZrGe2Ir2. It was derived from a GGA-PBE-relaxed structure, using Cu Ka.

Main lines, in order of falling intensity (2θ from 15° to 90°):
Position (°2θ)	Rel. int.
39.53	100
23.90	41
71.71	34
46.72	22
57.14	17
85.11	11

```
data_Na2HfZrGe2Ir2
_symmetry_space_group_name_H-M 'P 1'
_symmetry_Int_Tables_number 1
_symmetry_space_group_name_Hall 'P 1'
_cell_length_a 4.559
_cell_length_b 4.559
_cell_length_c 6.449
_cell_angle_alpha 90.00
_cell_angle_beta 90.00
_cell_angle_gamma 90.00
loop_
_atom_site_label
_atom_site_fract_x
_atom_site_fract_y
_atom_site_fract_z
Na1 0.000 0.500 0.250
Na2 0.500 0.000 0.750
Hf1 0.000 0.000 0.500
Zr1 0.500 0.500 0.000
Ge1 0.000 0.000 0.000
Ge2 0.500 0.500 0.500
Ir1 0.000 0.500 0.747
Ir2 0.500 0.000 0.253
```


Record 3
The following is a computed PXRD pattern of Ba2Cd3B3. It was derived from a GGA-PBE-relaxed structure, using Cu Ka.

Main lines, in order of falling intensity (2θ from 15° to 90°):
Position (°2θ)	Rel. int.
27.69	100
27.17	65
31.73	62
29.18	62
38.20	61
39.18	60

```
data_Ba2Cd3B3
_symmetry_space_group_name_H-M 'P 1'
_symmetry_Int_Tables_number 1
_symmetry_space_group_name_Hall 'P 1'
_cell_length_a 3.282
_cell_length_b 3.282
_cell_length_c 16.921
_cell_angle_alpha 90.00
_cell_angle_beta 90.00
_cell_angle_gamma 90.00
loop_
_atom_site_label
_atom_site_fract_x
_atom_site_fract_y
_atom_site_fract_z
Ba1 0.000 0.500 0.148
Ba2 0.500 0.000 0.852
Cd1 0.000 0.000 0.329
Cd2 0.000 0.000 0.500
Cd3 0.000 0.000 0.671
B1 0.000 0.000 0.000
B2 0.500 0.500 0.000
B3 0.500 0.500 0.500
```


Record 4
The following is a computed PXRD pattern of SnAsPt2. It was derived from a GGA-PBE-relaxed structure, using Cu Ka.

Main lines, in order of falling intensity (2θ from 15° to 90°):
Position (°2θ)	Rel. int.
48.23	100
45.34	99
28.21	97
34.73	83
30.80	74
39.66	72

```
data_SnAsPt2
_symmetry_space_group_name_H-M 'P 1'
_symmetry_Int_Tables_number 1
_symmetry_space_group_name_Hall 'P 1'
_cell_length_a 3.774
_cell_length_b 3.774
_cell_length_c 12.647
_cell_angle_alpha 90.00
_cell_angle_beta 90.00
_cell_angle_gamma 120.00
loop_
_atom_site_label
_atom_site_fract_x
_atom_site_fract_y
_atom_site_fract_z
Sn1 0.000 0.000 0.000
Sn2 0.000 0.000 0.500
As1 0.333 0.667 0.250
As2 0.667 0.333 0.750
Pt1 0.333 0.667 0.638
Pt2 0.333 0.667 0.862
Pt3 0.667 0.333 0.138
Pt4 0.667 0.333 0.362
```


Record 5
The following is a computed PXRD pattern of Sb4Au5. It was derived from a GGA-PBE-relaxed structure, using Cu Ka.

Main lines, in order of falling intensity (2θ from 15° to 90°):
Position (°2θ)	Rel. int.
43.36	100
27.88	76
29.63	72
29.88	53
30.22	49
43.24	47

```
data_Sb4Au5
_symmetry_space_group_name_H-M 'P 1'
_symmetry_Int_Tables_number 1
_symmetry_space_group_name_Hall 'P 1'
_cell_length_a 7.446
_cell_length_b 5.073
_cell_length_c 11.830
_cell_angle_alpha 90.00
_cell_angle_beta 102.16
_cell_angle_gamma 90.00
loop_
_atom_site_label
_atom_site_fract_x
_atom_site_fract_y
_atom_site_fract_z
Sb1 0.021 0.045 0.144
Sb2 0.021 0.455 0.644
Sb3 0.414 0.633 0.142
Sb4 0.414 0.867 0.642
Sb5 0.586 0.133 0.358
Sb6 0.586 0.367 0.858
Sb7 0.979 0.545 0.356
Sb8 0.979 0.955 0.856
Au1 0.171 0.162 0.494
Au2 0.171 0.338 0.994
Au3 0.278 0.670 0.829
Au4 0.278 0.830 0.329
Au5 0.500 0.000 0.000
Au6 0.500 0.500 0.500
Au7 0.722 0.170 0.671
Au8 0.722 0.330 0.171
Au9 0.829 0.662 0.006
Au10 0.829 0.838 0.506
```


Record 6
The following is a computed PXRD pattern of Li2NbTeO6. It was derived from a GGA-PBE-relaxed structure, using Cu Ka.

Main lines, in order of falling intensity (2θ from 15° to 90°):
Position (°2θ)	Rel. int.
20.86	100
32.53	71
19.81	41
52.10	30
40.37	27
35.67	19

```
data_Li2NbTeO6
_symmetry_space_group_name_H-M 'P 1'
_symmetry_Int_Tables_number 1
_symmetry_space_group_name_Hall 'P 1'
_cell_length_a 4.899
_cell_length_b 5.250
_cell_length_c 8.605
_cell_angle_alpha 90.00
_cell_angle_beta 90.00
_cell_angle_gamma 90.00
loop_
_atom_site_label
_atom_site_fract_x
_atom_site_fract_y
_atom_site_fract_z
Li1 0.000 0.000 0.000
Li2 0.000 0.500 0.398
Li3 0.500 0.000 0.898
Li4 0.500 0.500 0.500
Nb1 0.000 0.500 0.797
Nb2 0.500 0.000 0.297
Te1 0.000 0.000 0.606
Te2 0.500 0.500 0.106
O1 0.207 0.329 0.614
O2 0.212 0.829 0.779
O3 0.248 0.834 0.446
O4 0.252 0.334 0.946
O5 0.288 0.329 0.279
O6 0.293 0.829 0.114
O7 0.707 0.171 0.114
O8 0.712 0.671 0.279
O9 0.748 0.666 0.946
O10 0.752 0.166 0.446
O11 0.788 0.171 0.779
O12 0.793 0.671 0.614
```


Record 7
The following is a computed PXRD pattern of Li4ZnGeAu2. It was derived from a GGA-PBE-relaxed structure, using Cu Ka.

Main lines, in order of falling intensity (2θ from 15° to 90°):
Position (°2θ)	Rel. int.
24.82	100
41.17	51
48.47	34
40.94	26
74.71	18
48.87	17

```
data_Li4ZnGeAu2
_symmetry_space_group_name_H-M 'P 1'
_symmetry_Int_Tables_number 1
_symmetry_space_group_name_Hall 'P 1'
_cell_length_a 4.409
_cell_length_b 4.409
_cell_length_c 6.169
_cell_angle_alpha 90.00
_cell_angle_beta 90.00
_cell_angle_gamma 90.00
loop_
_atom_site_label
_atom_site_fract_x
_atom_site_fract_y
_atom_site_fract_z
Li1 0.000 0.000 0.000
Li2 0.000 0.500 0.747
Li3 0.500 0.000 0.253
Li4 0.500 0.500 0.500
Zn1 0.000 0.000 0.500
Ge1 0.500 0.500 0.000
Au1 0.000 0.500 0.249
Au2 0.500 0.000 0.751
```


Record 8
The following is a computed PXRD pattern of K2Tc3Se6. It was derived from a GGA-PBE-relaxed structure, using Cu Ka.

Main lines, in order of falling intensity (2θ from 15° to 90°):
Position (°2θ)	Rel. int.
44.95	100
30.25	100
31.22	100
29.73	71
46.06	71
43.04	67

```
data_K2Tc3Se6
_symmetry_space_group_name_H-M 'P 1'
_symmetry_Int_Tables_number 1
_symmetry_space_group_name_Hall 'P 1'
_cell_length_a 10.104
_cell_length_b 10.104
_cell_length_c 12.506
_cell_angle_alpha 91.38
_cell_angle_beta 91.38
_cell_angle_gamma 60.60
loop_
_atom_site_label
_atom_site_fract_x
_atom_site_fract_y
_atom_site_fract_z
K1 0.101 0.899 0.750
K2 0.149 0.621 0.982
K3 0.284 0.716 0.250
K4 0.379 0.851 0.518
K5 0.621 0.149 0.482
K6 0.716 0.284 0.750
K7 0.851 0.379 0.018
K8 0.899 0.101 0.250
Tc1 0.029 0.388 0.626
Tc2 0.101 0.318 0.419
Tc3 0.184 0.496 0.526
Tc4 0.318 0.101 0.919
Tc5 0.388 0.029 0.126
Tc6 0.496 0.184 0.026
Tc7 0.504 0.816 0.974
Tc8 0.612 0.971 0.874
Tc9 0.682 0.899 0.081
Tc10 0.816 0.504 0.474
Tc11 0.899 0.682 0.581
Tc12 0.971 0.612 0.374
Se1 0.052 0.779 0.481
Se2 0.060 0.236 0.805
Se3 0.110 0.560 0.720
Se4 0.216 0.297 0.070
Se5 0.221 0.948 0.019
Se6 0.236 0.060 0.305
Se7 0.246 0.426 0.332
Se8 0.297 0.216 0.570
Se9 0.426 0.246 0.832
Se10 0.433 0.504 0.581
Se11 0.440 0.890 0.780
Se12 0.496 0.567 0.919
Se13 0.504 0.433 0.081
Se14 0.560 0.110 0.220
Se15 0.567 0.496 0.419
Se16 0.574 0.754 0.168
Se17 0.703 0.784 0.430
Se18 0.754 0.574 0.668
Se19 0.764 0.940 0.695
Se20 0.779 0.052 0.981
Se21 0.784 0.703 0.930
Se22 0.890 0.440 0.280
Se23 0.940 0.764 0.195
Se24 0.948 0.221 0.519
```